1.
The following is a theoretical powder X-ray diffraction pattern of BeSbO3. It was derived from a DFT-relaxed cell (PBE, the Materials Project), using Cu Ka.
Lines closer than 0.1° are merged.

Largest 8 diffraction maxima, in order of falling intensity, 2θ = 10–90°:
2θ = 35.49°, rel. 100
2θ = 24.89°, rel. 96
2θ = 43.83°, rel. 79
2θ = 51.06°, rel. 41
2θ = 57.62°, rel. 41
2θ = 63.72°, rel. 38
2θ = 75.11°, rel. 24
2θ = 80.56°, rel. 20

Structure:
```
data_BeSbO3
_chemical_formula_sum 'Be1 Sb1 O3'
_cell_length_a 3.5774
_cell_length_b 3.5774
_cell_length_c 3.5774
_cell_angle_alpha 90.00
_cell_angle_beta 90.00
_cell_angle_gamma 90.00
_space_group_name_H-M_alt 'P 1'
_space_group_IT_number 1
_space_group_name_Hall 'P 1'
loop_
_atom_site_label
_atom_site_fract_x
_atom_site_fract_y
_atom_site_fract_z
_atom_site_occupancy
Be1 0.0000 0.0000 0.0000 1
Sb1 0.5000 0.5000 0.5000 1
O1 0.0000 0.0000 0.5000 1
O2 0.0000 0.5000 0.0000 1
O3 0.5000 0.0000 0.0000 1
```

=====

2.
The following is a theoretical powder X-ray diffraction pattern of Be4Si2O9. It was derived from a DFT-relaxed cell (PBE, the Materials Project), using Cu Ka.
Lines closer than 0.1° are merged.

Largest 8 diffraction maxima, in order of falling intensity, 2θ = 10–90°:
2θ = 20.43°, rel. 100
2θ = 27.47°, rel. 76
2θ = 19.59°, rel. 61
2θ = 44.46°, rel. 36
2θ = 38.69°, rel. 34
2θ = 22.12°, rel. 31
2θ = 39.05°, rel. 24
2θ = 22.33°, rel. 17

Structure:
```
data_Be4Si2O9
_chemical_formula_sum 'Be8 Si4 O18'
_cell_length_a 9.0755
_cell_length_b 9.0755
_cell_length_c 4.6548
_cell_angle_alpha 90.00
_cell_angle_beta 90.00
_cell_angle_gamma 122.75
_space_group_name_H-M_alt 'P 1'
_space_group_IT_number 1
_space_group_name_Hall 'P 1'
loop_
_atom_site_label
_atom_site_fract_x
_atom_site_fract_y
_atom_site_fract_z
_atom_site_occupancy
Be1 0.1020 0.5343 0.9988 1
Be2 0.1304 0.2253 0.0000 1
Be3 0.2253 0.1304 0.5000 1
Be4 0.4657 0.8980 0.9988 1
Be5 0.5343 0.1020 0.4988 1
Be6 0.7747 0.8696 0.0000 1
Be7 0.8696 0.7747 0.5000 1
Be8 0.8980 0.4657 0.4988 1
Si1 0.2014 0.4368 0.5011 1
Si2 0.4368 0.2014 0.0011 1
Si3 0.5632 0.7986 0.5011 1
Si4 0.7986 0.5632 0.0011 1
O1 0.0577 0.9423 0.4299 1
O2 0.0692 0.4837 0.3439 1
O3 0.1458 0.3971 0.8436 1
O4 0.1814 0.2652 0.3423 1
O5 0.2652 0.1814 0.8423 1
O6 0.2755 0.7245 0.9285 1
O7 0.3971 0.1458 0.3436 1
O8 0.4054 0.5946 0.4629 1
O9 0.4837 0.0692 0.8439 1
O10 0.5163 0.9308 0.3439 1
O11 0.5946 0.4054 0.9629 1
O12 0.6029 0.8542 0.8436 1
O13 0.7245 0.2755 0.4285 1
O14 0.7348 0.8186 0.3423 1
O15 0.8186 0.7348 0.8423 1
O16 0.8542 0.6029 0.3436 1
O17 0.9308 0.5163 0.8439 1
O18 0.9423 0.0577 0.9299 1
```

=====

3.
The following is a theoretical powder X-ray diffraction pattern of Be4Si2O9. It was derived from a DFT-relaxed cell (PBE, the Materials Project), using Cu Ka.
Lines closer than 0.1° are merged.

Largest 8 diffraction maxima, in order of falling intensity, 2θ = 10–90°:
2θ = 37.21°, rel. 100
2θ = 28.70°, rel. 92
2θ = 22.66°, rel. 87
2θ = 38.58°, rel. 82
2θ = 12.26°, rel. 52
2θ = 21.23°, rel. 46
2θ = 24.56°, rel. 44
2θ = 37.38°, rel. 43

Structure:
```
data_Be4Si2O9
_chemical_formula_sum 'Be8 Si4 O18'
_cell_length_a 8.3468
_cell_length_b 8.3468
_cell_length_c 4.6670
_cell_angle_alpha 90.00
_cell_angle_beta 90.00
_cell_angle_gamma 119.72
_space_group_name_H-M_alt 'P 1'
_space_group_IT_number 1
_space_group_name_Hall 'P 1'
loop_
_atom_site_label
_atom_site_fract_x
_atom_site_fract_y
_atom_site_fract_z
_atom_site_occupancy
Be1 0.0557 0.6083 0.5000 1
Be2 0.2737 0.3889 0.8188 1
Be3 0.3889 0.2737 0.3188 1
Be4 0.3917 0.9443 0.5000 1
Be5 0.6083 0.0557 0.0000 1
Be6 0.6111 0.7263 0.8188 1
Be7 0.7263 0.6111 0.3188 1
Be8 0.9443 0.3917 0.0000 1
Si1 0.0613 0.9387 0.3017 1
Si2 0.3901 0.6099 0.3248 1
Si3 0.6099 0.3901 0.8248 1
Si4 0.9387 0.0613 0.8017 1
O1 0.0358 0.5884 0.8404 1
O2 0.0395 0.9605 0.9610 1
O3 0.0515 0.2808 0.8927 1
O4 0.2808 0.0515 0.3927 1
O5 0.2819 0.7181 0.4333 1
O6 0.2942 0.3971 0.4587 1
O7 0.3971 0.2942 0.9587 1
O8 0.3968 0.6032 0.9691 1
O9 0.4116 0.9642 0.8404 1
O10 0.5884 0.0358 0.3404 1
O11 0.6032 0.3968 0.4691 1
O12 0.6029 0.7058 0.4587 1
O13 0.7058 0.6029 0.9587 1
O14 0.7181 0.2819 0.9333 1
O15 0.7192 0.9485 0.8927 1
O16 0.9485 0.7192 0.3927 1
O17 0.9605 0.0395 0.4610 1
O18 0.9642 0.4116 0.3404 1
```

=====

4.
The following is a theoretical powder X-ray diffraction pattern of Be2SiO4. It was derived from a DFT-relaxed cell (PBE, the Materials Project), using Cu Ka.
Lines closer than 0.1° are merged.

Largest 8 diffraction maxima, in order of falling intensity, 2θ = 10–90°:
2θ = 28.39°, rel. 100
2θ = 35.40°, rel. 74
2θ = 24.13°, rel. 69
2θ = 40.98°, rel. 66
2θ = 74.12°, rel. 54
2θ = 37.86°, rel. 51
2θ = 14.09°, rel. 44
2θ = 43.17°, rel. 43

Structure:
```
data_Be2SiO4
_chemical_formula_sum 'Be12 Si6 O24'
_cell_length_a 7.7698
_cell_length_b 7.7698
_cell_length_c 7.7698
_cell_angle_alpha 108.01
_cell_angle_beta 108.01
_cell_angle_gamma 108.01
_space_group_name_H-M_alt 'P 1'
_space_group_IT_number 1
_space_group_name_Hall 'P 1'
loop_
_atom_site_label
_atom_site_fract_x
_atom_site_fract_y
_atom_site_fract_z
_atom_site_occupancy
Be1 0.1015 0.2788 0.8729 1
Be2 0.1271 0.8985 0.7212 1
Be3 0.2058 0.4311 0.6099 1
Be4 0.2788 0.8729 0.1015 1
Be5 0.3901 0.7942 0.5689 1
Be6 0.4311 0.6099 0.2058 1
Be7 0.5689 0.3901 0.7942 1
Be8 0.6099 0.2058 0.4311 1
Be9 0.7212 0.1271 0.8985 1
Be10 0.7942 0.5689 0.3901 1
Be11 0.8729 0.1015 0.2788 1
Be12 0.8985 0.7212 0.1271 1
Si1 0.0544 0.4614 0.2343 1
Si2 0.2343 0.0544 0.4614 1
Si3 0.4614 0.2343 0.0544 1
Si4 0.5386 0.7657 0.9456 1
Si5 0.7657 0.9456 0.5386 1
Si6 0.9456 0.5386 0.7657 1
O1 0.0030 0.0376 0.7060 1
O2 0.0376 0.7060 0.0030 1
O3 0.0405 0.3372 0.3714 1
O4 0.0838 0.4164 0.7494 1
O5 0.2506 0.9162 0.5836 1
O6 0.2936 0.6239 0.3291 1
O7 0.2940 0.9970 0.9624 1
O8 0.3291 0.2936 0.6239 1
O9 0.3372 0.3714 0.0405 1
O10 0.3714 0.0405 0.3372 1
O11 0.3761 0.6709 0.7064 1
O12 0.4164 0.7494 0.0838 1
O13 0.5836 0.2506 0.9162 1
O14 0.6239 0.3291 0.2936 1
O15 0.6286 0.9595 0.6628 1
O16 0.6628 0.6286 0.9595 1
O17 0.6709 0.7064 0.3761 1
O18 0.7060 0.0030 0.0376 1
O19 0.7064 0.3761 0.6709 1
O20 0.7494 0.0838 0.4164 1
O21 0.9162 0.5836 0.2506 1
O22 0.9595 0.6628 0.6286 1
O23 0.9624 0.2940 0.9970 1
O24 0.9970 0.9624 0.2940 1
```

=====

5.
The following is a theoretical powder X-ray diffraction pattern of Be2SiO4. It was derived from a DFT-relaxed cell (PBE, the Materials Project), using Cu Ka.
Lines closer than 0.1° are merged.

Largest 8 diffraction maxima, in order of falling intensity, 2θ = 10–90°:
2θ = 16.03°, rel. 100
2θ = 21.62°, rel. 50
2θ = 24.17°, rel. 43
2θ = 14.98°, rel. 29
2θ = 14.22°, rel. 28
2θ = 30.76°, rel. 26
2θ = 29.86°, rel. 22
2θ = 16.62°, rel. 21

Structure:
```
data_Be2SiO4
_chemical_formula_sum 'Be12 Si6 O24'
_cell_length_a 6.2205
_cell_length_b 7.5816
_cell_length_c 11.2336
_cell_angle_alpha 89.82
_cell_angle_beta 80.11
_cell_angle_gamma 75.03
_space_group_name_H-M_alt 'P 1'
_space_group_IT_number 1
_space_group_name_Hall 'P 1'
loop_
_atom_site_label
_atom_site_fract_x
_atom_site_fract_y
_atom_site_fract_z
_atom_site_occupancy
Be1 0.0449 0.4274 0.1846 1
Be2 0.0489 0.7865 0.2662 1
Be3 0.0658 0.5432 0.5730 1
Be4 0.1484 0.9751 0.7829 1
Be5 0.3966 0.3084 0.8806 1
Be6 0.4408 0.0850 0.6177 1
Be7 0.5592 0.9150 0.3823 1
Be8 0.6034 0.6916 0.1194 1
Be9 0.8516 0.0249 0.2171 1
Be10 0.9342 0.4568 0.4270 1
Be11 0.9511 0.2135 0.7338 1
Be12 0.9551 0.5726 0.8154 1
Si1 0.3265 0.0574 0.1838 1
Si2 0.3437 0.6100 0.7620 1
Si3 0.4280 0.2762 0.3991 1
Si4 0.5720 0.7238 0.6009 1
Si5 0.6563 0.3900 0.2380 1
Si6 0.6735 0.9426 0.8162 1
O1 0.1147 0.9580 0.2159 1
O2 0.1279 0.6063 0.6833 1
O3 0.1715 0.3970 0.4664 1
O4 0.1786 0.5836 0.2351 1
O5 0.2022 0.4774 0.8659 1
O6 0.2055 0.1335 0.6966 1
O7 0.2323 0.2543 0.1324 1
O8 0.2735 0.8080 0.8347 1
O9 0.3833 0.0871 0.3280 1
O10 0.4245 0.5623 0.1884 1
O11 0.4542 0.8234 0.4904 1
O12 0.4673 0.1057 0.8837 1
O13 0.5327 0.8943 0.1163 1
O14 0.5458 0.1766 0.5096 1
O15 0.5755 0.4377 0.8116 1
O16 0.6167 0.9129 0.6720 1
O17 0.7265 0.1920 0.1653 1
O18 0.7677 0.7457 0.8676 1
O19 0.7945 0.8665 0.3034 1
O20 0.7978 0.5226 0.1341 1
O21 0.8214 0.4164 0.7649 1
O22 0.8285 0.6030 0.5336 1
O23 0.8721 0.3937 0.3167 1
O24 0.8853 0.0420 0.7841 1
```